[1]
This entry pairs a crystal structure of K2LiSnBr5 with its simulated XRD peak list. Radiation: Cu Kα (weighted mean of Kα1 and Kα2). Structure: a crystal structure in Alexandria, relaxed with PBE.
Lines closer than 0.1° are merged.

Top 10 peaks for 2θ = 10–80°, in order of rising 2θ:
h k l  two_theta  I_rel
1 1 0  20.02  38
1 1 2  23.53  50
0 4 3  26.42  53
1 1 3  27.32  100
1 3 3  30.49  29
1 5 0  30.75  31
1 5 1  31.38  32
1 5 3  36.07  32
2 0 0  39.51  46
0 8 3  42.67  29

Atomic structure:
```
data_K2LiSnBr5
_space_group_name_H-M_alt 'C m c 21'
_space_group_IT_number 36
_cell_length_a 4.563
_cell_length_b 18.868
_cell_length_c 14.468
_cell_angle_alpha 90.00
_cell_angle_beta 90.00
_cell_angle_gamma 90.00
loop_
_space_group_symop_operation_xyz
'x,y,z'
'-x,-y,z+1/2'
'-x,y,z'
'x,-y,z+1/2'
'x+1/2,y+1/2,z'
'-x+1/2,-y+1/2,z+1/2'
'-x+1/2,y+1/2,z'
'x+1/2,-y+1/2,z+1/2'
loop_
_atom_site_label
_atom_site_fract_x
_atom_site_fract_y
_atom_site_fract_z
K1 0.000 0.099 0.000
K2 0.000 0.155 0.644
Li1 0.000 0.235 0.399
Sn1 0.000 0.459 0.769
Br1 0.000 0.088 0.379
Br2 0.000 0.272 0.988
Br3 0.000 0.335 0.675
Br4 0.000 0.359 0.327
Br5 0.000 0.477 0.087
```

***

[2]
This entry pairs a crystal structure of MgTl2Br3Cl with its simulated XRD peak list. Radiation: Cu Kα (weighted mean of Kα1 and Kα2). Structure: a crystal structure in Alexandria, relaxed with PBE.
Lines closer than 0.1° are merged.

Top 10 peaks for 2θ = 10–80°, in order of rising 2θ:
h k l  two_theta  I_rel
0 0 4  21.05  23
1 0 3  23.92  25
1 1 0  24.53  74
1 1 2  26.74  36
0 0 6  31.80  28
1 1 4  32.54  100
0 2 0  33.65  38
2 0 0  36.24  31
1 1 6  40.55  25
2 2 0  50.28  24

Atomic structure:
```
data_MgTl2Br3Cl
_space_group_name_H-M_alt 'I m m m'
_space_group_IT_number 71
_space_group_name_Hall '-I 2 2'
_cell_length_a 4.957
_cell_length_b 5.327
_cell_length_c 16.883
_cell_angle_alpha 90.00
_cell_angle_beta 90.00
_cell_angle_gamma 90.00
loop_
_atom_site_label
_atom_site_fract_x
_atom_site_fract_y
_atom_site_fract_z
Mg1 0.000 0.000 0.000
Tl1 0.000 0.000 0.356
Br1 0.000 0.000 0.160
Br2 0.000 0.500 0.000
Cl1 0.000 0.500 0.500
```

***

[3]
This entry pairs a crystal structure of Tl11InHg5 with its simulated XRD peak list. Radiation: Cu Kα (weighted mean of Kα1 and Kα2). Structure: a crystal structure in Alexandria, relaxed with PBE.
Lines closer than 0.1° are merged.

Top 10 peaks for 2θ = 10–80°, in order of rising 2θ:
h k l  two_theta  I_rel
0 0 2  28.42  22
2 4 -1  29.56  40
3 3 -1  30.35  35
3 3 -2  30.79  100
0 2 2  31.18  70
3 1 0  31.30  47
3 1 -3  32.59  33
4 2 -2  33.11  61
0 6 0  38.35  66
1 5 1  39.09  22

Atomic structure:
```
data_Tl11InHg5
_space_group_name_H-M_alt 'C 1 2/m 1'
_space_group_IT_number 12
_cell_length_a 11.745
_cell_length_b 14.104
_cell_length_c 8.423
_cell_angle_alpha 90.00
_cell_angle_beta 131.79
_cell_angle_gamma 90.00
loop_
_space_group_symop_operation_xyz
'x,y,z'
'-x,-y,-z'
'-x,y,-z'
'x,-y,z'
'x+1/2,y+1/2,z'
'-x+1/2,-y+1/2,-z'
'-x+1/2,y+1/2,-z'
'x+1/2,-y+1/2,z'
loop_
_atom_site_label
_atom_site_fract_x
_atom_site_fract_y
_atom_site_fract_z
Tl1 0.000 0.000 0.000
Tl2 0.130 0.377 0.290
Tl3 0.213 0.500 0.024
Tl4 0.218 0.307 0.771
In1 0.000 0.500 0.500
Hg1 0.000 0.000 0.500
Hg2 0.020 0.169 0.286
```

***

[4]
This entry pairs a crystal structure of Tb3Er4ScS8 with its simulated XRD peak list. Radiation: Cu Kα (weighted mean of Kα1 and Kα2). Structure: a crystal structure in Alexandria, relaxed with PBE.
Lines closer than 0.1° are merged.

Top 10 peaks for 2θ = 10–80°, in order of rising 2θ:
h k l  two_theta  I_rel
0 0 3  14.01  6
0 2 1  27.01  5
2 0 2  28.23  76
0 2 4  32.72  100
2 2 0  46.94  71
2 2 6  55.69  37
4 0 4  58.39  25
0 4 8  68.57  11
4 2 2  75.73  15
2 4 4  78.07  32

Atomic structure:
```
data_Tb3Er4ScS8
_space_group_name_H-M_alt 'R -3 m'
_space_group_IT_number 166
_space_group_name_Hall '-R 3 2"'
_cell_length_a 7.7416
_cell_length_b 7.7416
_cell_length_c 18.9669
_cell_angle_alpha 90.00
_cell_angle_beta 90.00
_cell_angle_gamma 120.00
loop_
_atom_site_label
_atom_site_fract_x
_atom_site_fract_y
_atom_site_fract_z
Tb1 0.0000 0.5000 0.0000
Er1 0.0000 0.0000 0.5000
Er2 0.0000 0.5000 0.5000
Sc1 0.0000 0.0000 0.0000
S1 0.0000 0.0000 0.2479
S2 0.0078 0.5039 0.7501
```

***

[5]
This entry pairs a crystal structure of Th2Si3Rh with its simulated XRD peak list. Radiation: Cu Kα (weighted mean of Kα1 and Kα2). Structure: a crystal structure in Alexandria, relaxed with PBE.
Lines closer than 0.1° are merged.

Top 10 peaks for 2θ = 10–80°, in order of rising 2θ:
h k l  two_theta  I_rel
0 1 1  21.89  26
0 0 4  24.96  20
0 1 3  28.21  17
1 0 3  28.78  35
1 1 2  32.93  100
0 1 5  38.02  25
1 0 5  38.46  18
0 2 0  42.70  17
2 0 0  44.28  15
1 0 7  49.96  16

Atomic structure:
```
data_Th2Si3Rh
_space_group_name_H-M_alt 'I m m 2'
_space_group_IT_number 44
_cell_length_a 4.091
_cell_length_b 4.235
_cell_length_c 14.271
_cell_angle_alpha 90.00
_cell_angle_beta 90.00
_cell_angle_gamma 90.00
loop_
_space_group_symop_operation_xyz
'x,y,z'
'-x,-y,z'
'-x,y,z'
'x,-y,z'
'x+1/2,y+1/2,z+1/2'
'-x+1/2,-y+1/2,z+1/2'
'-x+1/2,y+1/2,z+1/2'
'x+1/2,-y+1/2,z+1/2'
loop_
_atom_site_label
_atom_site_fract_x
_atom_site_fract_y
_atom_site_fract_z
Th1 0.000 0.000 0.000
Th2 0.000 0.500 0.253
Si1 0.000 0.000 0.418
Si2 0.000 0.000 0.584
Si3 0.000 0.500 0.831
Rh1 0.000 0.500 0.665
```

***

[6]
This entry pairs a crystal structure of Er2Te3 with its simulated XRD peak list. Radiation: Cu Kα (weighted mean of Kα1 and Kα2). Structure: a crystal structure in Alexandria, relaxed with PBE.
Lines closer than 0.1° are merged.

Top 10 peaks for 2θ = 10–80°, in order of rising 2θ:
h k l  two_theta  I_rel
1 1 1  12.95  18
2 0 6  29.15  100
4 0 0  41.57  13
2 4 6  41.72  63
4 4 0  51.59  14
0 4 12  51.78  13
0 8 0  60.44  13
4 4 12  68.48  12
2 8 6  68.56  17
2 4 18  76.24  13

Atomic structure:
```
data_Er2Te3
_space_group_name_H-M_alt 'F d d d'
_space_group_IT_number 70
_cell_length_a 8.689
_cell_length_b 12.244
_cell_length_c 25.937
_cell_angle_alpha 90.00
_cell_angle_beta 90.00
_cell_angle_gamma 90.00
loop_
_space_group_symop_operation_xyz
'x,y,z'
'-x,-y,-z'
'-x+1/4,-y+1/4,z'
'x+1/4,y+1/4,-z'
'x,-y+1/4,-z+1/4'
'-x,y+1/4,z+1/4'
'-x+1/4,y,-z+1/4'
'x+1/4,-y,z+1/4'
'x,y+1/2,z+1/2'
'-x,-y+1/2,-z+1/2'
'-x+1/4,-y+3/4,z+1/2'
'x+1/4,y+3/4,-z+1/2'
'x,-y+3/4,-z+3/4'
'-x,y+3/4,z+3/4'
'-x+1/4,y+1/2,-z+3/4'
'x+1/4,-y+1/2,z+3/4'
'x+1/2,y,z+1/2'
'-x+1/2,-y,-z+1/2'
'-x+3/4,-y+1/4,z+1/2'
'x+3/4,y+1/4,-z+1/2'
'x+1/2,-y+1/4,-z+3/4'
'-x+1/2,y+1/4,z+3/4'
'-x+3/4,y,-z+3/4'
'x+3/4,-y,z+3/4'
'x+1/2,y+1/2,z'
'-x+1/2,-y+1/2,-z'
'-x+3/4,-y+3/4,z'
'x+3/4,y+3/4,-z'
'x+1/2,-y+3/4,-z+1/4'
'-x+1/2,y+3/4,z+1/4'
'-x+3/4,y+1/2,-z+1/4'
'x+3/4,-y+1/2,z+1/4'
loop_
_atom_site_label
_atom_site_fract_x
_atom_site_fract_y
_atom_site_fract_z
Er1 0.125 0.125 0.042
Er2 0.125 0.125 0.376
Te1 0.123 0.375 0.208
Te2 0.123 0.375 0.875
```